Li4Ti2Fe3O10: calculated X-ray diffraction stick pattern (Cu Kα (weighted mean of Kα1 and Kα2)), based on DFT lattice parameters and positions (GGA+U).
Lines closer than 0.1° are merged.

Main lines, sorted by position (10 to 80 degrees two-theta):
| 2θ/deg | d/Å | I/Imax |
| --- | --- | --- |
| 12.28 | 7.208 | 84 |
| 17.95 | 4.942 | 100 |
| 18.11 | 4.900 | 32 |
| 22.56 | 3.941 | 21 |
| 26.35 | 3.382 | 23 |
| 41.72 | 2.165 | 69 |
| 42.85 | 2.110 | 62 |
| 43.28 | 2.091 | 62 |
| 61.59 | 1.506 | 17 |
| 62.13 | 1.494 | 17 |

Structure:
```
data_Li4Ti2Fe3O10
_chemical_formula_sum 'Li8 Ti4 Fe6 O20'
_cell_length_a 6.681
_cell_length_b 7.935
_cell_length_c 7.958
_cell_angle_alpha 95.87
_cell_angle_beta 114.25
_cell_angle_gamma 90.31
_space_group_name_H-M_alt 'P 1'
_space_group_IT_number 1
loop_
_space_group_symop_operation_xyz
'x,y,z'
loop_
_atom_site_label
_atom_site_type_symbol
_atom_site_fract_x
_atom_site_fract_y
_atom_site_fract_z
Li1 Li 0.087 0.085 0.403
Li2 Li 0.241 0.755 0.491
Li3 Li 0.310 0.296 0.209
Li4 Li 0.404 0.405 0.595
Li5 Li 0.596 0.595 0.405
Li6 Li 0.690 0.704 0.791
Li7 Li 0.759 0.245 0.509
Li8 Li 0.913 0.915 0.597
Ti1 Ti 0.043 0.542 0.691
Ti2 Ti 0.477 0.939 0.312
Ti3 Ti 0.523 0.061 0.688
Ti4 Ti 0.957 0.458 0.309
Fe1 Fe 0.000 0.000 0.000
Fe2 Fe 0.140 0.656 0.107
Fe3 Fe 0.347 0.854 0.892
Fe4 Fe 0.500 0.500 0.000
Fe5 Fe 0.653 0.146 0.108
Fe6 Fe 0.860 0.344 0.893
O1 O 0.039 0.766 0.851
O2 O 0.065 0.349 0.533
O3 O 0.151 0.882 0.242
O4 O 0.158 0.443 0.940
O5 O 0.247 0.965 0.658
O6 O 0.248 0.526 0.334
O7 O 0.350 0.062 0.072
O8 O 0.361 0.623 0.761
O9 O 0.430 0.157 0.462
O10 O 0.453 0.732 0.148
O11 O 0.547 0.268 0.852
O12 O 0.570 0.843 0.538
O13 O 0.639 0.377 0.239
O14 O 0.650 0.938 0.928
O15 O 0.752 0.474 0.666
O16 O 0.753 0.035 0.342
O17 O 0.842 0.557 0.060
O18 O 0.849 0.118 0.758
O19 O 0.935 0.651 0.467
O20 O 0.961 0.234 0.149
```

***

Li2TiFe2O5: calculated X-ray diffraction stick pattern (Cu Kα (weighted mean of Kα1 and Kα2)), based on DFT lattice parameters and positions (GGA+U).
Lines closer than 0.1° are merged.

Main lines, sorted by position (10 to 80 degrees two-theta):
| 2θ/deg | d/Å | I/Imax |
| --- | --- | --- |
| 11.86 | 7.463 | 20 |
| 19.26 | 4.607 | 10 |
| 21.92 | 4.054 | 22 |
| 21.98 | 4.043 | 10 |
| 25.67 | 3.471 | 10 |
| 36.94 | 2.433 | 14 |
| 37.14 | 2.421 | 14 |
| 43.03 | 2.102 | 100 |
| 62.50 | 1.486 | 36 |
| 62.74 | 1.481 | 9 |

Structure:
```
data_Li2TiFe2O5
_chemical_formula_sum 'Li4 Ti2 Fe4 O10'
_cell_length_a 5.138
_cell_length_b 5.143
_cell_length_c 7.892
_cell_angle_alpha 71.03
_cell_angle_beta 83.76
_cell_angle_gamma 70.36
_space_group_name_H-M_alt 'P 1'
_space_group_IT_number 1
loop_
_space_group_symop_operation_xyz
'x,y,z'
loop_
_atom_site_label
_atom_site_type_symbol
_atom_site_fract_x
_atom_site_fract_y
_atom_site_fract_z
Li1 Li 0.000 0.000 0.000
Li2 Li 0.000 0.199 0.606
Li3 Li 0.496 0.297 0.410
Li4 Li 0.498 0.701 0.604
Ti1 Ti 0.497 0.108 0.795
Ti2 Ti 0.997 0.797 0.418
Fe1 Fe 0.500 0.892 0.211
Fe2 Fe 0.502 0.497 0.012
Fe3 Fe 0.994 0.601 0.799
Fe4 Fe 0.996 0.400 0.202
O1 O 0.231 0.031 0.408
O2 O 0.241 0.651 0.219
O3 O 0.250 0.243 0.997
O4 O 0.254 0.444 0.606
O5 O 0.269 0.856 0.810
O6 O 0.733 0.338 0.806
O7 O 0.742 0.956 0.605
O8 O 0.745 0.773 0.995
O9 O 0.752 0.138 0.218
O10 O 0.771 0.563 0.406
```

***

Li2TiFe2O5: calculated X-ray diffraction stick pattern (Cu Kα (weighted mean of Kα1 and Kα2)), based on DFT lattice parameters and positions (GGA+U).
Lines closer than 0.1° are merged.

Main lines, sorted by position (10 to 80 degrees two-theta):
| 2θ/deg | d/Å | I/Imax |
| --- | --- | --- |
| 21.85 | 4.068 | 43 |
| 29.16 | 3.063 | 41 |
| 36.63 | 2.453 | 20 |
| 36.83 | 2.440 | 20 |
| 41.70 | 2.166 | 100 |
| 44.55 | 2.034 | 40 |
| 60.45 | 1.531 | 27 |
| 62.39 | 1.488 | 12 |
| 62.71 | 1.482 | 12 |
| 62.94 | 1.477 | 12 |

Structure:
```
data_Li2TiFe2O5
_chemical_formula_sum 'Li4 Ti2 Fe4 O10'
_cell_length_a 4.333
_cell_length_b 5.075
_cell_length_c 9.597
_cell_angle_alpha 92.35
_cell_angle_beta 90.01
_cell_angle_gamma 115.16
_space_group_name_H-M_alt 'P 1'
_space_group_IT_number 1
loop_
_space_group_symop_operation_xyz
'x,y,z'
loop_
_atom_site_label
_atom_site_type_symbol
_atom_site_fract_x
_atom_site_fract_y
_atom_site_fract_z
Li1 Li 0.095 0.195 0.298
Li2 Li 0.307 0.605 0.901
Li3 Li 0.693 0.395 0.099
Li4 Li 0.905 0.805 0.702
Ti1 Ti 0.356 0.788 0.194
Ti2 Ti 0.644 0.212 0.806
Fe1 Fe 0.000 0.000 0.000
Fe2 Fe 0.208 0.417 0.606
Fe3 Fe 0.500 0.000 0.500
Fe4 Fe 0.792 0.583 0.394
O1 O 0.000 0.000 0.500
O2 O 0.077 0.202 0.805
O3 O 0.217 0.425 0.101
O4 O 0.306 0.605 0.378
O5 O 0.406 0.824 0.709
O6 O 0.500 0.000 0.000
O7 O 0.594 0.176 0.291
O8 O 0.694 0.395 0.622
O9 O 0.783 0.575 0.899
O10 O 0.923 0.798 0.195
```

***

Li7Ti12Fe5O32: calculated X-ray diffraction stick pattern (Cu Kα (weighted mean of Kα1 and Kα2)), based on DFT lattice parameters and positions (GGA+U).
Lines closer than 0.1° are merged.

Main lines, sorted by position (10 to 80 degrees two-theta):
| 2θ/deg | d/Å | I/Imax |
| --- | --- | --- |
| 14.70 | 6.028 | 18 |
| 18.02 | 4.922 | 23 |
| 23.33 | 3.813 | 24 |
| 25.61 | 3.479 | 15 |
| 29.64 | 3.014 | 32 |
| 34.91 | 2.570 | 100 |
| 42.41 | 2.131 | 30 |
| 56.05 | 1.641 | 40 |
| 61.48 | 1.508 | 27 |
| 61.59 | 1.506 | 27 |

Structure:
```
data_Li7Ti12Fe5O32
_chemical_formula_sum 'Li7 Ti12 Fe5 O32'
_cell_length_a 8.525
_cell_length_b 8.525
_cell_length_c 8.525
_cell_angle_alpha 90.10
_cell_angle_beta 90.10
_cell_angle_gamma 90.10
_space_group_name_H-M_alt 'P 1'
_space_group_IT_number 1
loop_
_space_group_symop_operation_xyz
'x,y,z'
loop_
_atom_site_label
_atom_site_type_symbol
_atom_site_fract_x
_atom_site_fract_y
_atom_site_fract_z
Li1 Li 0.000 0.000 0.000
Li2 Li 0.122 0.622 0.126
Li3 Li 0.126 0.122 0.622
Li4 Li 0.249 0.499 0.749
Li5 Li 0.499 0.749 0.249
Li6 Li 0.622 0.126 0.122
Li7 Li 0.749 0.249 0.499
Ti1 Ti 0.007 0.751 0.760
Ti2 Ti 0.245 0.252 0.992
Ti3 Ti 0.251 0.747 0.492
Ti4 Ti 0.252 0.992 0.245
Ti5 Ti 0.489 0.501 0.999
Ti6 Ti 0.492 0.251 0.747
Ti7 Ti 0.501 0.999 0.489
Ti8 Ti 0.747 0.492 0.251
Ti9 Ti 0.751 0.760 0.007
Ti10 Ti 0.760 0.007 0.751
Ti11 Ti 0.992 0.245 0.252
Ti12 Ti 0.999 0.489 0.501
Fe1 Fe 0.373 0.373 0.373
Fe2 Fe 0.375 0.875 0.875
Fe3 Fe 0.624 0.624 0.624
Fe4 Fe 0.875 0.375 0.875
Fe5 Fe 0.875 0.875 0.375
O1 O 0.000 0.270 0.484
O2 O 0.000 0.516 0.730
O3 O 0.012 0.736 0.512
O4 O 0.015 0.020 0.250
O5 O 0.020 0.250 0.015
O6 O 0.230 0.752 0.732
O7 O 0.233 0.518 0.498
O8 O 0.236 0.236 0.236
O9 O 0.247 0.771 0.265
O10 O 0.250 0.015 0.020
O11 O 0.263 0.986 0.484
O12 O 0.265 0.247 0.771
O13 O 0.270 0.484 0.000
O14 O 0.481 0.768 0.500
O15 O 0.484 0.000 0.270
O16 O 0.484 0.263 0.986
O17 O 0.498 0.233 0.518
O18 O 0.500 0.481 0.768
O19 O 0.512 0.012 0.736
O20 O 0.516 0.730 0.000
O21 O 0.518 0.498 0.233
O22 O 0.730 0.000 0.516
O23 O 0.732 0.230 0.752
O24 O 0.736 0.512 0.012
O25 O 0.747 0.979 0.982
O26 O 0.752 0.732 0.230
O27 O 0.762 0.762 0.762
O28 O 0.768 0.500 0.481
O29 O 0.771 0.265 0.247
O30 O 0.979 0.982 0.747
O31 O 0.982 0.747 0.979
O32 O 0.986 0.484 0.263
```

***

Li3TiFe3O8: calculated X-ray diffraction stick pattern (Cu Kα (weighted mean of Kα1 and Kα2)), based on DFT lattice parameters and positions (GGA+U).
Lines closer than 0.1° are merged.

Main lines, sorted by position (10 to 80 degrees two-theta):
| 2θ/deg | d/Å | I/Imax |
| --- | --- | --- |
| 18.45 | 4.808 | 65 |
| 19.63 | 4.523 | 100 |
| 25.40 | 3.507 | 33 |
| 32.96 | 2.718 | 38 |
| 35.62 | 2.520 | 44 |
| 36.28 | 2.476 | 67 |
| 39.86 | 2.262 | 49 |
| 45.30 | 2.002 | 89 |
| 60.15 | 1.538 | 48 |
| 62.80 | 1.480 | 49 |

Structure:
```
data_Li3TiFe3O8
_chemical_formula_sum 'Li6 Ti2 Fe6 O16'
_cell_length_a 5.918
_cell_length_b 5.918
_cell_length_c 9.617
_cell_angle_alpha 90.00
_cell_angle_beta 90.00
_cell_angle_gamma 120.00
_space_group_name_H-M_alt 'P 1'
_space_group_IT_number 1
loop_
_space_group_symop_operation_xyz
'x,y,z'
loop_
_atom_site_label
_atom_site_type_symbol
_atom_site_fract_x
_atom_site_fract_y
_atom_site_fract_z
Li1 Li 0.176 0.352 0.000
Li2 Li 0.176 0.824 0.000
Li3 Li 0.352 0.176 0.500
Li4 Li 0.648 0.824 0.000
Li5 Li 0.824 0.176 0.500
Li6 Li 0.824 0.648 0.500
Ti1 Ti 0.333 0.667 0.444
Ti2 Ti 0.667 0.333 0.944
Fe1 Fe 0.169 0.339 0.727
Fe2 Fe 0.169 0.831 0.727
Fe3 Fe 0.339 0.169 0.227
Fe4 Fe 0.661 0.831 0.727
Fe5 Fe 0.831 0.169 0.227
Fe6 Fe 0.831 0.661 0.227
O1 O 0.000 0.000 0.119
O2 O 0.000 0.000 0.619
O3 O 0.036 0.518 0.596
O4 O 0.167 0.335 0.351
O5 O 0.167 0.833 0.351
O6 O 0.333 0.667 0.846
O7 O 0.335 0.167 0.851
O8 O 0.482 0.518 0.596
O9 O 0.482 0.964 0.596
O10 O 0.518 0.036 0.096
O11 O 0.518 0.482 0.096
O12 O 0.665 0.833 0.351
O13 O 0.667 0.333 0.346
O14 O 0.833 0.167 0.851
O15 O 0.833 0.665 0.851
O16 O 0.964 0.482 0.096
```

***

Li2TiFe3O8: calculated X-ray diffraction stick pattern (Cu Kα (weighted mean of Kα1 and Kα2)), based on DFT lattice parameters and positions (GGA+U).
Lines closer than 0.1° are merged.

Main lines, sorted by position (10 to 80 degrees two-theta):
| 2θ/deg | d/Å | I/Imax |
| --- | --- | --- |
| 18.15 | 4.888 | 100 |
| 35.16 | 2.553 | 48 |
| 36.78 | 2.444 | 10 |
| 42.72 | 2.116 | 58 |
| 46.77 | 1.942 | 11 |
| 56.48 | 1.629 | 21 |
| 62.01 | 1.497 | 35 |
| 65.19 | 1.431 | 14 |
| 74.32 | 1.276 | 6 |
| 78.23 | 1.222 | 9 |

Structure:
```
data_Li2TiFe3O8
_chemical_formula_sum 'Li2 Ti1 Fe3 O8'
_cell_length_a 5.985
_cell_length_b 5.985
_cell_length_c 5.985
_cell_angle_alpha 60.02
_cell_angle_beta 60.02
_cell_angle_gamma 60.02
_space_group_name_H-M_alt 'P 1'
_space_group_IT_number 1
loop_
_space_group_symop_operation_xyz
'x,y,z'
loop_
_atom_site_label
_atom_site_type_symbol
_atom_site_fract_x
_atom_site_fract_y
_atom_site_fract_z
Li1 Li 0.126 0.126 0.126
Li2 Li 0.874 0.874 0.874
Ti1 Ti 0.500 0.500 0.500
Fe1 Fe 0.000 0.500 0.500
Fe2 Fe 0.500 0.000 0.500
Fe3 Fe 0.500 0.500 0.000
O1 O 0.263 0.263 0.263
O2 O 0.266 0.266 0.714
O3 O 0.266 0.714 0.266
O4 O 0.286 0.734 0.734
O5 O 0.714 0.266 0.266
O6 O 0.734 0.286 0.734
O7 O 0.734 0.734 0.286
O8 O 0.737 0.737 0.737
```

***

Li2TiFe3O8: calculated X-ray diffraction stick pattern (Cu Kα (weighted mean of Kα1 and Kα2)), based on DFT lattice parameters and positions (GGA+U).
Lines closer than 0.1° are merged.

Main lines, sorted by position (10 to 80 degrees two-theta):
| 2θ/deg | d/Å | I/Imax |
| --- | --- | --- |
| 18.13 | 4.893 | 100 |
| 34.93 | 2.569 | 16 |
| 35.02 | 2.563 | 17 |
| 35.37 | 2.538 | 12 |
| 36.77 | 2.444 | 8 |
| 42.37 | 2.133 | 20 |
| 42.49 | 2.128 | 19 |
| 43.15 | 2.097 | 18 |
| 62.00 | 1.497 | 11 |
| 62.23 | 1.492 | 11 |

Structure:
```
data_Li2TiFe3O8
_chemical_formula_sum 'Li4 Ti2 Fe6 O16'
_cell_length_a 5.972
_cell_length_b 5.993
_cell_length_c 8.510
_cell_angle_alpha 90.20
_cell_angle_beta 90.06
_cell_angle_gamma 90.99
_space_group_name_H-M_alt 'P 1'
_space_group_IT_number 1
loop_
_space_group_symop_operation_xyz
'x,y,z'
loop_
_atom_site_label
_atom_site_type_symbol
_atom_site_fract_x
_atom_site_fract_y
_atom_site_fract_z
Li1 Li 0.000 0.000 0.000
Li2 Li 0.002 0.511 0.248
Li3 Li 0.496 0.008 0.747
Li4 Li 0.506 0.502 0.501
Ti1 Ti 0.259 0.508 0.863
Ti2 Ti 0.743 0.002 0.385
Fe1 Fe 0.001 0.255 0.624
Fe2 Fe 0.001 0.756 0.624
Fe3 Fe 0.246 0.004 0.374
Fe4 Fe 0.500 0.756 0.124
Fe5 Fe 0.501 0.256 0.125
Fe6 Fe 0.756 0.507 0.875
O1 O 0.008 0.728 0.864
O2 O 0.013 0.283 0.869
O3 O 0.226 0.009 0.606
O4 O 0.236 0.508 0.639
O5 O 0.276 0.999 0.139
O6 O 0.283 0.520 0.111
O7 O 0.497 0.734 0.884
O8 O 0.499 0.285 0.885
O9 O 0.504 0.777 0.364
O10 O 0.505 0.227 0.362
O11 O 0.718 0.991 0.136
O12 O 0.726 0.513 0.109
O13 O 0.765 0.003 0.608
O14 O 0.775 0.502 0.643
O15 O 0.990 0.228 0.380
O16 O 0.992 0.782 0.384
```

***

Li6TiFe5O12: calculated X-ray diffraction stick pattern (Cu Kα (weighted mean of Kα1 and Kα2)), based on DFT lattice parameters and positions (GGA+U).
Lines closer than 0.1° are merged.

Main lines, sorted by position (10 to 80 degrees two-theta):
| 2θ/deg | d/Å | I/Imax |
| --- | --- | --- |
| 17.65 | 5.026 | 100 |
| 35.04 | 2.561 | 13 |
| 36.35 | 2.472 | 18 |
| 37.32 | 2.410 | 17 |
| 37.62 | 2.391 | 11 |
| 41.29 | 2.187 | 13 |
| 43.82 | 2.066 | 20 |
| 46.29 | 1.961 | 26 |
| 57.08 | 1.614 | 14 |
| 63.05 | 1.474 | 13 |

Structure:
```
data_Li6TiFe5O12
_chemical_formula_sum 'Li6 Ti1 Fe5 O12'
_cell_length_a 5.040
_cell_length_b 5.040
_cell_length_c 10.114
_cell_angle_alpha 93.22
_cell_angle_beta 93.22
_cell_angle_gamma 118.50
_space_group_name_H-M_alt 'P 1'
_space_group_IT_number 1
loop_
_space_group_symop_operation_xyz
'x,y,z'
loop_
_atom_site_label
_atom_site_type_symbol
_atom_site_fract_x
_atom_site_fract_y
_atom_site_fract_z
Li1 Li 0.116 0.116 0.256
Li2 Li 0.207 0.554 0.743
Li3 Li 0.446 0.793 0.257
Li4 Li 0.554 0.207 0.743
Li5 Li 0.793 0.446 0.257
Li6 Li 0.884 0.884 0.744
Ti1 Ti 0.500 0.500 0.500
Fe1 Fe 0.000 0.000 0.000
Fe2 Fe 0.165 0.835 0.500
Fe3 Fe 0.331 0.669 0.000
Fe4 Fe 0.669 0.331 0.000
Fe5 Fe 0.835 0.165 0.500
O1 O 0.075 0.722 0.118
O2 O 0.154 0.473 0.384
O3 O 0.210 0.210 0.616
O4 O 0.278 0.925 0.882
O5 O 0.390 0.390 0.107
O6 O 0.473 0.154 0.384
O7 O 0.527 0.846 0.616
O8 O 0.610 0.610 0.893
O9 O 0.722 0.075 0.118
O10 O 0.790 0.790 0.384
O11 O 0.846 0.527 0.616
O12 O 0.925 0.278 0.882
```